# CaTbGa2Au5
Theoretical powder diffractogram, Cu Kα, 1.54184 Å. Input: a cell relaxed with GGA-PBE.
Peak positions follow from Bragg's law for the DFT cell and can differ from measured ones.

Main lines, by angle (2θ = 5–70°):
| 2theta | I_rel | hkl |
| --- | --- | --- |
| 34.5 | 100 | 1 1 2 |
| 35.8 | 13 | 1 0 3 |
| 39.8 | 11 | 0 0 4 |
| 40.1 | 45 | 2 0 0 |
| 41.2 | 12 | 1 1 3 |
| 57.8 | 16 | 2 0 4 |
| 58.0 | 15 | 2 2 0 |
| 69.3 | 27 | 3 1 2 |

Cell: 4.4966 4.4966 9.0510 Å, 90.00 90.00 90.00°
Space group P4/mmm (No. 123)
One atom of each set of equivalent atoms:
1 Ca 0.0000 0.0000 0.0000 [1 per cell]
2 Tb 0.0000 0.0000 0.5000 [1 per cell]
3 Ga 0.5000 0.5000 0.3665 [2 per cell]
4 Au 0.0000 0.5000 0.2296 [4 per cell]
5 Au 0.5000 0.5000 0.0000 [1 per cell]

=====

# CaZnGa3Au
Theoretical powder diffractogram, Cu Kα, 1.54184 Å. Input: a cell relaxed with GGA-PBE.
Peak positions follow from Bragg's law for the DFT cell and can differ from measured ones.

Main lines, by angle (2θ = 5–70°):
| 2theta | I_rel | hkl |
| --- | --- | --- |
| 10.5 | 47 | 0 2 0 |
| 16.3 | 34 | 1 1 0 |
| 22.3 | 100 | 1 1 1 |
| 27.0 | 47 | 1 3 1 |
| 37.6 | 36 | 0 4 2 |
| 37.9 | 35 | 2 4 0 |
| 43.7 | 59 | 1 7 1 |
| 44.2 | 59 | 2 0 2 |

Cell: 5.7647 16.8070 5.8173 Å, 90.00 90.00 90.00°
Space group Cmcm (No. 63)
One atom of each set of equivalent atoms:
1 Ca 0.0000 0.1668 0.2500 [4 per cell]
2 Zn 0.0000 0.4034 0.7500 [4 per cell]
3 Ga 0.0000 0.2560 0.7500 [4 per cell]
4 Ga 0.2474 0.0000 0.0000 [8 per cell]
5 Au 0.0000 0.1078 0.7500 [4 per cell]

=====

# CaGdAu
Theoretical powder diffractogram, Cu Kα, 1.54184 Å. Input: a cell relaxed with GGA-PBE.
Peak positions follow from Bragg's law for the DFT cell and can differ from measured ones.

Main lines, by angle (2θ = 5–70°):
| 2theta | I_rel | hkl |
| --- | --- | --- |
| 13.7 | 70 | 0 0 2 |
| 32.0 | 100 | 1 0 3 |
| 34.6 | 50 | 1 1 0 |
| 37.3 | 26 | 1 1 2 |
| 42.7 | 38 | 1 0 5 |
| 49.7 | 18 | 2 0 0 |
| 60.3 | 33 | 2 1 3 |
| 67.6 | 20 | 2 1 5 |

Cell: 3.6696 3.6696 12.9622 Å, 90.00 90.00 90.00°
Space group I4mm (No. 107)
One atom of each set of equivalent atoms:
1 Ca 0.0000 0.0000 0.0000 [2 per cell]
2 Gd 0.0000 0.0000 0.2696 [2 per cell]
3 Au 0.0000 0.0000 0.6476 [2 per cell]

=====

# CaGeAu
Theoretical powder diffractogram, Cu Kα, 1.54184 Å. Input: a cell relaxed with GGA-PBE.
Peak positions follow from Bragg's law for the DFT cell and can differ from measured ones.

Main lines, by angle (2θ = 5–70°):
| 2theta | I_rel | hkl |
| --- | --- | --- |
| 22.7 | 42 | 0 1 1 |
| 24.4 | 38 | 2 0 0 |
| 25.8 | 67 | 1 1 1 |
| 33.5 | 75 | 2 1 1 |
| 38.7 | 33 | 3 0 1 |
| 39.8 | 100 | 0 2 0 |
| 47.2 | 46 | 2 1 3 |
| 48.3 | 25 | 3 1 2 |

Cell: 7.3086 4.5254 7.8539 Å, 90.00 90.00 90.00°
Space group Pnma (No. 62)
One atom of each set of equivalent atoms:
1 Ca 0.9996 0.2500 0.2051 [4 per cell]
2 Ge 0.1946 0.2500 0.5896 [4 per cell]
3 Au 0.1999 0.7500 0.4170 [4 per cell]

=====

# Ca3Ge3Au8
Theoretical powder diffractogram, Cu Kα, 1.54184 Å. Input: a cell relaxed with GGA-PBE.
Peak positions follow from Bragg's law for the DFT cell and can differ from measured ones.

Main lines, by angle (2θ = 5–70°):
| 2theta | I_rel | hkl |
| --- | --- | --- |
| 19.4 | 80 | 2 0 -2 |
| 33.2 | 62 | 1 1 2 |
| 33.5 | 48 | 3 1 1 |
| 34.1 | 100 | 5 1 -2 |
| 37.2 | 47 | 1 1 -3 |
| 38.0 | 45 | 5 1 0 |
| 38.7 | 88 | 0 2 0 |
| 44.9 | 68 | 7 1 -3 |

Cell: 16.2451 4.6588 9.1585 Å, 90.00 122.10 90.00°
Space group C2/m (No. 12)
One atom of each set of equivalent atoms:
1 Ca 0.0000 0.0000 0.0000 [2 per cell]
2 Ca 0.2070 0.5000 0.7219 [4 per cell]
3 Ge 0.0000 0.0000 0.5000 [2 per cell]
4 Ge 0.1682 0.5000 0.3181 [4 per cell]
5 Au 0.0055 0.5000 0.3282 [4 per cell]
6 Au 0.1307 0.0000 0.8417 [4 per cell]
7 Au 0.1418 0.0000 0.4229 [4 per cell]
8 Au 0.1534 0.5000 0.0306 [4 per cell]

=====

# Ca2Ge3Au6
Theoretical powder diffractogram, Cu Kα, 1.54184 Å. Input: a cell relaxed with GGA-PBE.
Peak positions follow from Bragg's law for the DFT cell and can differ from measured ones.

Main lines, by angle (2θ = 5–70°):
| 2theta | I_rel | hkl |
| --- | --- | --- |
| 13.2 | 42 | 1 0 0 |
| 22.9 | 31 | 1 1 0 |
| 30.3 | 100 | 1 1 1 |
| 39.7 | 34 | 0 0 2 |
| 40.3 | 28 | 3 0 0 |
| 40.7 | 74 | 2 1 1 |
| 45.1 | 34 | 3 0 1 |
| 67.1 | 26 | 4 1 1 |

Cell: 7.7550 7.7550 4.5456 Å, 90.00 90.00 120.00°
Space group P-62m (No. 189)
One atom of each set of equivalent atoms:
1 Ca 0.3333 0.6667 0.0000 [2 per cell]
2 Ge 0.0000 0.6370 0.5000 [3 per cell]
3 Au 0.0000 0.3136 0.5000 [3 per cell]
4 Au 0.0000 0.7848 0.0000 [3 per cell]

=====

- Which formula does entry 5 have?
  Ca3Ge3Au8